(1)
Starting from the PBE geometry in Alexandria, the PXRD pattern of Nd2TcC4 was calculated for Cu Ka.
Neutral-atom scattering factors, no anomalous dispersion.

a = 6.904 Å, b = 6.904 Å, c = 6.904 Å
α = 109.69°, β = 88.15°, γ = 134.06°
Fractional coordinates of all 14 atoms:
Nd 0.151 0.151 0.302
Nd 0.349 0.651 0.999
Nd 0.651 0.349 0.001
Nd 0.849 0.849 0.698
Tc 0.250 0.750 0.500
Tc 0.750 0.250 0.500
C 0.075 0.678 0.754
C 0.124 0.839 0.962
C 0.376 0.339 0.715
C 0.425 0.178 0.603
C 0.575 0.822 0.397
C 0.624 0.661 0.285
C 0.876 0.161 0.038
C 0.925 0.322 0.246

Peak list (6 most intense, 15° ≤ 2θ ≤ 90°, in order of rising 2θ)
| d (Å) | I (rel.) |
| --- | --- |
| 3.317 | 50 |
| 3.048 | 100 |
| 2.560 | 25 |
| 2.471 | 26 |
| 1.825 | 17 |
| 1.640 | 27 |

***

(2)
Starting from the PBE geometry in Alexandria, the PXRD pattern of AcSe2O6 was calculated for Cu Ka.
Neutral-atom scattering factors, no anomalous dispersion.

a = 7.639 Å, b = 7.149 Å, c = 8.819 Å
α = 55.99°, β = 50.88°, γ = 73.13°
Fractional coordinates of all 18 atoms:
Ac 0.000 0.000 0.000
Ac 0.250 0.250 0.250
Se 0.234 0.638 0.736
Se 0.514 0.858 0.016
Se 0.638 0.234 0.392
Se 0.858 0.514 0.612
O 0.076 0.423 0.829
O 0.123 0.878 0.630
O 0.141 0.616 0.982
O 0.268 0.989 0.109
O 0.421 0.578 0.174
O 0.423 0.076 0.672
O 0.578 0.421 0.827
O 0.616 0.141 0.261
O 0.620 0.881 0.127
O 0.878 0.123 0.369
O 0.881 0.620 0.372
O 0.989 0.268 0.634

Peak list (6 most intense, 15° ≤ 2θ ≤ 90°, in order of rising 2θ)
| d (Å) | I (rel.) |
| --- | --- |
| 5.898 | 77 |
| 3.632 | 35 |
| 3.421 | 100 |
| 3.398 | 85 |
| 3.260 | 42 |
| 2.747 | 46 |

***

(3)
Starting from the PBE geometry in Alexandria, the PXRD pattern of EuBr2 was calculated for Cu Ka.
Neutral-atom scattering factors, no anomalous dispersion.

a = 11.619 Å, b = 11.619 Å, c = 7.203 Å
α = 90.00°, β = 90.00°, γ = 90.00°
Fractional coordinates of all 30 atoms:
Eu 0.084 0.605 0.247
Eu 0.105 0.916 0.753
Eu 0.250 0.250 0.156
Eu 0.395 0.584 0.753
Eu 0.416 0.895 0.247
Eu 0.584 0.105 0.753
Eu 0.605 0.416 0.247
Eu 0.750 0.750 0.844
Eu 0.895 0.084 0.247
Eu 0.916 0.395 0.753
Br 0.042 0.351 0.380
Br 0.043 0.161 0.907
Br 0.149 0.042 0.380
Br 0.161 0.457 0.907
Br 0.250 0.750 0.000
Br 0.250 0.750 0.500
Br 0.339 0.043 0.907
Br 0.351 0.458 0.380
Br 0.457 0.339 0.907
Br 0.458 0.149 0.380
Br 0.542 0.851 0.620
Br 0.543 0.661 0.093
Br 0.649 0.542 0.620
Br 0.661 0.957 0.093
Br 0.750 0.250 0.000
Br 0.750 0.250 0.500
Br 0.839 0.543 0.093
Br 0.851 0.958 0.620
Br 0.957 0.839 0.093
Br 0.958 0.649 0.620

Peak list (6 most intense, 15° ≤ 2θ ≤ 90°, in order of rising 2θ)
| d (Å) | I (rel.) |
| --- | --- |
| 4.214 | 100 |
| 3.273 | 47 |
| 2.624 | 70 |
| 2.598 | 59 |
| 2.572 | 78 |
| 2.180 | 58 |

***

(4)
Starting from the PBE geometry in Alexandria, the PXRD pattern of LaNdSbO was calculated for Cu Ka.
Neutral-atom scattering factors, no anomalous dispersion.

a = 14.569 Å, b = 14.569 Å, c = 14.569 Å
α = 16.69°, β = 16.69°, γ = 16.69°
Fractional coordinates of all 8 atoms:
La 0.000 0.000 0.000
La 0.500 0.500 0.500
Nd 0.241 0.241 0.241
Nd 0.759 0.759 0.759
Sb 0.381 0.381 0.381
Sb 0.619 0.619 0.619
O 0.189 0.189 0.189
O 0.811 0.811 0.811

Peak list (6 most intense, 15° ≤ 2θ ≤ 90°, in order of rising 2θ)
| d (Å) | I (rel.) |
| --- | --- |
| 3.468 | 27 |
| 3.371 | 24 |
| 3.029 | 100 |
| 2.170 | 34 |
| 2.115 | 47 |
| 1.734 | 20 |